# Rb2MgIn10
Theoretical XRD peak list, Cu Kα. Input: DFT lattice parameters and positions (GGA-PBE).
Intensities are scaled so that the largest is 100.

Atomic structure:
abc: 10.106 12.947 7.000
angles: 90.00 90.00 90.00
Positions (direct):
Rb  0.248  0.057  0.000
Rb  0.252  0.557  0.000
Rb  0.748  0.443  0.000
Rb  0.752  0.943  0.000
Mg  0.000  0.000  0.500
Mg  0.500  0.500  0.500
In  0.058  0.621  0.500
In  0.094  0.806  0.219
In  0.094  0.806  0.781
In  0.159  0.200  0.500
In  0.232  0.429  0.500
In  0.268  0.929  0.500
In  0.341  0.700  0.500
In  0.406  0.306  0.219
In  0.406  0.306  0.781
In  0.442  0.121  0.500
In  0.558  0.879  0.500
In  0.594  0.694  0.219
In  0.594  0.694  0.781
In  0.659  0.300  0.500
In  0.732  0.071  0.500
In  0.768  0.571  0.500
In  0.841  0.800  0.500
In  0.906  0.194  0.219
In  0.906  0.194  0.781
In  0.942  0.379  0.500

Main lines, in order of rising 2θ (15° ≤ 2θ ≤ 90°):
d_spacing, 2θ (°), Rel. int.
4.707, 18.9, 37.8
3.977, 22.4, 51.2
2.821, 31.7, 100.0
2.809, 31.9, 61.6
2.748, 32.6, 76.8
2.508, 35.8, 47.9
2.481, 36.2, 56.5
2.354, 38.2, 34.0
2.335, 38.6, 56.1
2.273, 39.7, 43.1

# Tl4AgO6
Theoretical XRD peak list, Cu Kα. Input: DFT lattice parameters and positions (GGA-PBE).
Intensities are scaled so that the largest is 100.

Atomic structure:
abc: 6.272 6.272 10.629
angles: 108.62 108.62 71.01
Positions (direct):
Tl  0.008  0.356  0.341
Tl  0.088  0.912  0.500
Tl  0.104  0.524  0.696
Tl  0.258  0.619  0.113
Tl  0.356  0.008  0.841
Tl  0.524  0.104  0.196
Tl  0.619  0.258  0.613
Tl  0.912  0.088  0.000
Ag  0.536  0.639  0.439
Ag  0.639  0.536  0.939
O  0.009  0.207  0.701
O  0.154  0.750  0.908
O  0.189  0.603  0.317
O  0.207  0.009  0.201
O  0.209  0.260  0.019
O  0.260  0.209  0.519
O  0.369  0.689  0.667
O  0.603  0.189  0.817
O  0.675  0.883  0.018
O  0.689  0.369  0.167
O  0.750  0.154  0.408
O  0.883  0.675  0.518

Main lines, in order of rising 2θ (15° ≤ 2θ ≤ 90°):
d_spacing, 2θ (°), Rel. int.
3.183, 28.0, 100.0
3.076, 29.0, 94.4
2.996, 29.8, 31.9
2.961, 30.2, 46.5
2.921, 30.6, 35.0
2.872, 31.1, 99.0
2.429, 37.0, 32.0
2.351, 38.3, 23.5
1.822, 50.1, 31.8
1.678, 54.7, 27.3

# Cu3AgCl6
Theoretical XRD peak list, Cu Kα. Input: DFT lattice parameters and positions (GGA-PBE).
Intensities are scaled so that the largest is 100.

Atomic structure:
abc: 7.629 7.629 3.778
angles: 90.00 90.00 108.74
Positions (direct):
Cu  0.000  0.000  0.000
Cu  0.000  0.500  0.500
Cu  0.500  0.000  0.500
Ag  0.500  0.500  0.000
Cl  0.055  0.311  0.000
Cl  0.311  0.055  0.000
Cl  0.336  0.664  0.500
Cl  0.664  0.336  0.500
Cl  0.689  0.945  0.000
Cl  0.945  0.689  0.000

Main lines, in order of rising 2θ (15° ≤ 2θ ≤ 90°):
d_spacing, 2θ (°), Rel. int.
3.612, 24.6, 91.0
3.226, 27.6, 100.0
2.880, 31.0, 32.5
2.661, 33.7, 24.1
2.222, 40.6, 20.1
2.109, 42.9, 98.4
1.889, 48.2, 23.2
1.874, 48.6, 23.6
1.830, 49.8, 38.4
1.674, 54.8, 19.2

# Li17CaY
Theoretical XRD peak list, Cu Kα. Input: DFT lattice parameters and positions (GGA-PBE).
Intensities are scaled so that the largest is 100.

Atomic structure:
abc: 7.526 7.526 7.526
angles: 82.52 82.52 82.52
Positions (direct):
Li  0.012  0.494  0.494
Li  0.049  0.049  0.049
Li  0.142  0.142  0.655
Li  0.142  0.655  0.142
Li  0.152  0.442  0.848
Li  0.152  0.848  0.442
Li  0.247  0.247  0.247
Li  0.313  0.787  0.787
Li  0.442  0.152  0.848
Li  0.442  0.848  0.152
Li  0.494  0.012  0.494
Li  0.494  0.494  0.012
Li  0.655  0.142  0.142
Li  0.787  0.313  0.787
Li  0.787  0.787  0.313
Li  0.848  0.152  0.442
Li  0.848  0.442  0.152
Ca  0.799  0.799  0.799
Y  0.485  0.485  0.485

Main lines, in order of rising 2θ (15° ≤ 2θ ≤ 90°):
d_spacing, 2θ (°), Rel. int.
5.572, 15.9, 38.1
4.963, 17.9, 93.4
4.878, 18.2, 30.6
4.124, 21.5, 29.2
3.479, 25.6, 100.0
3.172, 28.1, 29.8
2.866, 31.2, 42.6
2.482, 36.2, 36.4
2.471, 36.4, 67.1
1.751, 52.2, 27.8

# Sm6Ni2PdCl3
Theoretical XRD peak list, Cu Kα. Input: DFT lattice parameters and positions (GGA-PBE).
Intensities are scaled so that the largest is 100.

Atomic structure:
abc: 9.642 9.642 8.728
angles: 108.74 108.74 24.09
Positions (direct):
Sm  0.016  0.016  0.239
Sm  0.323  0.323  0.438
Sm  0.339  0.339  0.880
Sm  0.661  0.661  0.120
Sm  0.677  0.677  0.562
Sm  0.984  0.984  0.761
Ni  0.168  0.168  0.339
Ni  0.832  0.832  0.661
Pd  0.500  0.500  0.000
Cl  0.168  0.168  0.835
Cl  0.500  0.500  0.500
Cl  0.832  0.832  0.165

Main lines, in order of rising 2θ (15° ≤ 2θ ≤ 90°):
d_spacing, 2θ (°), Rel. int.
3.345, 26.6, 13.3
3.331, 26.8, 26.7
2.969, 30.1, 49.2
2.951, 30.3, 100.0
2.342, 38.4, 16.6
2.170, 41.6, 44.2
2.024, 44.8, 35.3
2.012, 45.1, 18.3
1.744, 52.5, 18.6
1.666, 55.1, 17.3

# Li3AcAl9
Theoretical XRD peak list, Cu Kα. Input: DFT lattice parameters and positions (GGA-PBE).
Intensities are scaled so that the largest is 100.

Atomic structure:
abc: 7.282 7.282 7.130
angles: 97.45 97.45 137.95
Positions (direct):
Li  0.000  0.000  0.000
Li  0.000  0.500  0.500
Li  0.500  0.000  0.500
Ac  0.500  0.500  0.500
Al  0.006  0.771  0.269
Al  0.145  0.500  0.145
Al  0.229  0.994  0.731
Al  0.500  0.145  0.145
Al  0.500  0.500  0.000
Al  0.500  0.855  0.855
Al  0.771  0.006  0.269
Al  0.855  0.500  0.855
Al  0.994  0.229  0.731

Main lines, in order of rising 2θ (15° ≤ 2θ ≤ 90°):
d_spacing, 2θ (°), Rel. int.
4.753, 18.7, 79.0
4.581, 19.4, 97.4
3.316, 26.9, 74.8
3.272, 27.3, 39.5
2.986, 29.9, 33.0
2.714, 33.0, 29.3
2.705, 33.1, 38.8
2.612, 34.3, 28.9
2.374, 37.9, 100.0
2.340, 38.5, 33.3

Please write out number 1 again, unchanged.
# Rb2MgIn10
Theoretical XRD peak list, Cu Kα. Input: DFT lattice parameters and positions (GGA-PBE).
Intensities are scaled so that the largest is 100.

Atomic structure:
abc: 10.106 12.947 7.000
angles: 90.00 90.00 90.00
Positions (direct):
Rb  0.248  0.057  0.000
Rb  0.252  0.557  0.000
Rb  0.748  0.443  0.000
Rb  0.752  0.943  0.000
Mg  0.000  0.000  0.500
Mg  0.500  0.500  0.500
In  0.058  0.621  0.500
In  0.094  0.806  0.219
In  0.094  0.806  0.781
In  0.159  0.200  0.500
In  0.232  0.429  0.500
In  0.268  0.929  0.500
In  0.341  0.700  0.500
In  0.406  0.306  0.219
In  0.406  0.306  0.781
In  0.442  0.121  0.500
In  0.558  0.879  0.500
In  0.594  0.694  0.219
In  0.594  0.694  0.781
In  0.659  0.300  0.500
In  0.732  0.071  0.500
In  0.768  0.571  0.500
In  0.841  0.800  0.500
In  0.906  0.194  0.219
In  0.906  0.194  0.781
In  0.942  0.379  0.500

Main lines, in order of rising 2θ (15° ≤ 2θ ≤ 90°):
d_spacing, 2θ (°), Rel. int.
4.707, 18.9, 37.8
3.977, 22.4, 51.2
2.821, 31.7, 100.0
2.809, 31.9, 61.6
2.748, 32.6, 76.8
2.508, 35.8, 47.9
2.481, 36.2, 56.5
2.354, 38.2, 34.0
2.335, 38.6, 56.1
2.273, 39.7, 43.1

Q: Number 4 is which compound?
A: Li17CaY